Record 1
Diffraction record for Pm3Nd3Dy4. The XRD peak list is theoretical, not measured: it uses DFT lattice parameters and positions (PBE) and λ = 1.5418 Å (Cu Kα).
Peak positions follow from Bragg's law for the DFT cell and can differ from measured ones.

Structural model:
```
Pm3Nd3Dy4
1.0
3.701 0.000 0.000
0.000 6.797 6.802
0.000 -6.797 6.802
Pm Nd Dy
3 3 4
Direct
0.000 0.000 0.000
0.500 0.325 0.826
0.500 0.826 0.325
0.000 0.151 0.500
0.000 0.500 0.151
0.000 0.651 0.651
0.500 0.201 0.201
0.500 0.449 0.449
0.500 0.703 0.949
0.500 0.949 0.703
```

Principal peaks in the range 2θ from 15° to 90°, in order of rising 2θ:
| d [Å] | I/Imax |
| --- | --- |
| 3.400 | 13 |
| 3.041 | 62 |
| 2.933 | 31 |
| 2.805 | 100 |
| 2.667 | 17 |
| 1.973 | 11 |
| 1.851 | 11 |
| 1.680 | 19 |
| 1.608 | 15 |
| 1.581 | 22 |



Record 2
Diffraction record for Li5Ac2Mg5. The XRD peak list is theoretical, not measured: it uses DFT lattice parameters and positions (PBE) and λ = 1.5418 Å (Cu Kα).
Peak positions follow from Bragg's law for the DFT cell and can differ from measured ones.

Structural model:
```
Li5Ac2Mg5
1.0
4.686 0.000 0.000
0.000 6.219 0.000
0.000 0.000 10.564
Li Ac Mg
5 2 5
Direct
0.000 0.000 0.000
0.500 0.000 0.160
0.500 0.000 0.840
0.500 0.500 0.333
0.500 0.500 0.667
0.500 0.000 0.500
0.500 0.500 0.000
0.000 0.249 0.246
0.000 0.249 0.754
0.000 0.500 0.500
0.000 0.751 0.246
0.000 0.751 0.754
```

Principal peaks in the range 2θ from 15° to 90°, in order of rising 2θ:
| d [Å] | I/Imax |
| --- | --- |
| 5.359 | 98 |
| 5.282 | 38 |
| 4.686 | 24 |
| 3.527 | 100 |
| 3.505 | 59 |
| 3.064 | 30 |
| 2.679 | 37 |
| 2.591 | 30 |
| 2.565 | 50 |
| 1.763 | 24 |



Record 3
Diffraction record for Te. The XRD peak list is theoretical, not measured: it uses DFT lattice parameters and positions (PBE) and λ = 1.5418 Å (Cu Kα).
Peak positions follow from Bragg's law for the DFT cell and can differ from measured ones.

Structural model:
```
Te
1.0
9.121 0.000 0.000
-4.561 7.899 0.000
0.000 0.000 3.113
Te
6
Direct
0.085 0.684 0.000
0.316 0.401 0.000
0.401 0.085 0.000
0.599 0.915 0.000
0.684 0.599 0.000
0.915 0.316 0.000
```

Principal peaks in the range 2θ from 15° to 90°, in order of rising 2θ:
| d [Å] | I/Imax |
| --- | --- |
| 4.561 | 51 |
| 3.113 | 50 |
| 2.986 | 100 |
| 2.633 | 15 |
| 2.571 | 23 |
| 2.155 | 79 |
| 1.812 | 16 |
| 1.566 | 20 |
| 1.380 | 19 |
| 1.291 | 17 |



Record 4
Diffraction record for ZrTe2HPd. The XRD peak list is theoretical, not measured: it uses DFT lattice parameters and positions (PBE) and λ = 1.5418 Å (Cu Kα).
Peak positions follow from Bragg's law for the DFT cell and can differ from measured ones.

Structural model:
```
ZrTe2HPd
1.0
5.532 0.000 0.000
0.000 5.532 0.000
0.000 0.000 3.818
Zr Te H Pd
1 2 1 1
Direct
0.000 0.000 0.000
0.000 0.500 0.000
0.500 0.000 0.000
0.000 0.000 0.500
0.500 0.500 0.500
```

Principal peaks in the range 2θ from 15° to 90°, in order of rising 2θ:
| d [Å] | I/Imax |
| --- | --- |
| 3.818 | 30 |
| 3.142 | 56 |
| 2.766 | 100 |
| 2.732 | 66 |
| 2.240 | 29 |
| 2.076 | 34 |
| 1.956 | 36 |
| 1.590 | 26 |
| 1.571 | 35 |
| 1.366 | 22 |



Record 5
Diffraction record for Th2SiPt3. The XRD peak list is theoretical, not measured: it uses DFT lattice parameters and positions (PBE) and λ = 1.5418 Å (Cu Kα).
Peak positions follow from Bragg's law for the DFT cell and can differ from measured ones.

Structural model:
```
Th2SiPt3
1.0
0.000 4.364 7.890
3.757 0.000 7.890
3.757 4.364 0.000
Th Si Pt
4 2 6
Direct
0.242 0.758 0.758
0.250 0.250 0.250
0.750 0.750 0.750
0.758 0.242 0.242
0.336 0.336 0.664
0.664 0.664 0.336
0.178 0.649 0.351
0.183 0.183 0.817
0.351 0.822 0.178
0.649 0.178 0.822
0.817 0.817 0.183
0.822 0.351 0.649
```

Principal peaks in the range 2θ from 15° to 90°, in order of rising 2θ:
| d [Å] | I/Imax |
| --- | --- |
| 2.721 | 42 |
| 2.678 | 100 |
| 2.253 | 51 |
| 2.182 | 24 |
| 1.878 | 16 |
| 1.746 | 15 |
| 1.702 | 21 |
| 1.443 | 26 |
| 1.424 | 13 |
| 1.364 | 13 |



Record 6
Diffraction record for RbPuGa2O8. The XRD peak list is theoretical, not measured: it uses DFT lattice parameters and positions (PBE) and λ = 1.5418 Å (Cu Kα).
Peak positions follow from Bragg's law for the DFT cell and can differ from measured ones.

Structural model:
```
RbPuGa2O8
1.0
-3.593 3.593 3.451
3.593 -3.593 3.451
3.593 3.593 -3.451
Rb Pu Ga O
1 1 2 8
Direct
0.000 0.000 0.000
0.750 0.250 0.500
0.250 0.750 0.500
0.500 0.500 0.000
0.038 0.385 0.346
0.038 0.692 0.654
0.119 0.333 0.786
0.308 0.962 0.346
0.547 0.333 0.214
0.615 0.962 0.654
0.667 0.453 0.786
0.667 0.881 0.214
```

Principal peaks in the range 2θ from 15° to 90°, in order of rising 2θ:
| d [Å] | I/Imax |
| --- | --- |
| 5.081 | 27 |
| 4.978 | 50 |
| 3.593 | 100 |
| 2.855 | 82 |
| 2.540 | 24 |
| 1.898 | 65 |
| 1.796 | 16 |
| 1.555 | 17 |
| 1.520 | 19 |
| 1.305 | 16 |



Record 7
Diffraction record for TaHIr. The XRD peak list is theoretical, not measured: it uses DFT lattice parameters and positions (PBE) and λ = 1.5418 Å (Cu Kα).
Peak positions follow from Bragg's law for the DFT cell and can differ from measured ones.

Structural model:
```
TaHIr
1.0
4.201 -1.501 0.000
4.201 1.501 0.000
-0.492 0.000 6.116
Ta H Ir
2 2 2
Direct
0.150 0.150 0.313
0.850 0.850 0.687
0.360 0.360 0.491
0.640 0.640 0.509
0.134 0.134 0.869
0.866 0.866 0.131
```

Principal peaks in the range 2θ from 15° to 90°, in order of rising 2θ:
| d [Å] | I/Imax |
| --- | --- |
| 3.058 | 22 |
| 2.827 | 100 |
| 2.570 | 52 |
| 2.381 | 72 |
| 2.104 | 88 |
| 2.094 | 44 |
| 2.045 | 98 |
| 1.655 | 31 |
| 1.501 | 19 |
| 1.270 | 20 |



Record 8
Diffraction record for La3AlI3. The XRD peak list is theoretical, not measured: it uses DFT lattice parameters and positions (PBE) and λ = 1.5418 Å (Cu Kα).
Peak positions follow from Bragg's law for the DFT cell and can differ from measured ones.

Structural model:
```
La3AlI3
1.0
-6.444 6.444 6.444
6.444 -6.444 6.444
6.444 6.444 -6.444
La Al I
12 4 12
Direct
0.011 0.021 0.261
0.011 0.489 0.750
0.021 0.261 0.011
0.239 0.261 0.750
0.239 0.479 0.489
0.261 0.011 0.021
0.261 0.750 0.239
0.479 0.489 0.239
0.489 0.239 0.479
0.489 0.750 0.011
0.750 0.011 0.489
0.750 0.239 0.261
0.000 0.250 0.500
0.250 0.250 0.250
0.250 0.500 0.000
0.500 0.000 0.250
0.250 0.757 0.743
0.250 0.993 0.507
0.507 0.250 0.993
0.507 0.757 0.514
0.514 0.507 0.757
0.743 0.250 0.757
0.743 0.993 0.986
0.757 0.514 0.507
0.757 0.743 0.250
0.986 0.743 0.993
0.993 0.507 0.250
0.993 0.986 0.743
```

Principal peaks in the range 2θ from 15° to 90°, in order of rising 2θ:
| d [Å] | I/Imax |
| --- | --- |
| 5.261 | 15 |
| 3.444 | 32 |
| 3.222 | 100 |
| 2.748 | 16 |
| 2.278 | 74 |
| 1.860 | 26 |
| 1.754 | 13 |
| 1.611 | 12 |
| 1.441 | 31 |
| 1.315 | 22 |



Record 9
Diffraction record for Ce3TlSn. The XRD peak list is theoretical, not measured: it uses DFT lattice parameters and positions (PBE) and λ = 1.5418 Å (Cu Kα).
Peak positions follow from Bragg's law for the DFT cell and can differ from measured ones.

Structural model:
```
Ce3TlSn
1.0
-2.880 6.130 4.515
2.880 -6.130 4.515
2.880 6.130 -4.515
Ce Tl Sn
6 2 2
Direct
0.182 0.145 0.037
0.271 0.521 0.750
0.391 0.855 0.537
0.609 0.145 0.463
0.729 0.479 0.250
0.818 0.855 0.963
0.105 0.855 0.250
0.895 0.145 0.750
0.000 0.500 0.500
0.500 0.500 0.000
```

Principal peaks in the range 2θ from 15° to 90°, in order of rising 2θ:
| d [Å] | I/Imax |
| --- | --- |
| 3.723 | 39 |
| 3.413 | 23 |
| 3.065 | 60 |
| 2.880 | 71 |
| 2.681 | 72 |
| 2.668 | 100 |
| 2.099 | 42 |
| 2.012 | 65 |
| 1.619 | 22 |
| 1.431 | 22 |



Record 10
Diffraction record for Na2MgGaF7. The XRD peak list is theoretical, not measured: it uses DFT lattice parameters and positions (PBE) and λ = 1.5418 Å (Cu Kα).
Peak positions follow from Bragg's law for the DFT cell and can differ from measured ones.

Structural model:
```
Na2MgGaF7
1.0
-3.615 5.166 3.759
3.615 -5.166 3.759
3.615 5.166 -3.759
Na Mg Ga F
4 2 2 14
Direct
0.000 0.000 0.000
0.500 0.000 0.000
0.500 0.000 0.500
0.500 0.500 0.500
0.000 0.000 0.500
0.000 0.500 0.000
0.000 0.500 0.500
0.500 0.500 0.000
0.048 0.237 0.420
0.048 0.628 0.811
0.101 0.851 0.250
0.317 0.727 0.590
0.318 0.237 0.689
0.318 0.628 0.080
0.363 0.273 0.090
0.637 0.727 0.910
0.682 0.372 0.920
0.682 0.763 0.311
0.683 0.273 0.410
0.899 0.149 0.750
0.952 0.372 0.189
0.952 0.763 0.580
```

Principal peaks in the range 2θ from 15° to 90°, in order of rising 2θ:
| d [Å] | I/Imax |
| --- | --- |
| 5.211 | 83 |
| 5.166 | 25 |
| 3.669 | 69 |
| 3.040 | 100 |
| 2.962 | 85 |
| 2.367 | 34 |
| 2.100 | 27 |
| 1.834 | 86 |
| 1.587 | 40 |
| 1.554 | 32 |



Record 11
Diffraction record for Tb9Y3Th2. The XRD peak list is theoretical, not measured: it uses DFT lattice parameters and positions (PBE) and λ = 1.5418 Å (Cu Kα).
Peak positions follow from Bragg's law for the DFT cell and can differ from measured ones.

Structural model:
```
Tb9Y3Th2
1.0
8.505 -5.178 0.000
8.505 5.178 0.000
-1.858 0.000 5.316
Tb Y Th
9 3 2
Direct
0.000 0.000 0.000
0.012 0.351 0.185
0.052 0.714 0.386
0.120 0.448 0.788
0.311 0.655 0.986
0.351 0.012 0.185
0.448 0.120 0.788
0.655 0.311 0.986
0.714 0.052 0.386
0.390 0.390 0.393
0.671 0.671 0.174
0.790 0.790 0.793
0.411 0.772 0.595
0.772 0.411 0.595
```

Principal peaks in the range 2θ from 15° to 90°, in order of rising 2θ:
| d [Å] | I/Imax |
| --- | --- |
| 2.901 | 44 |
| 2.816 | 53 |
| 2.790 | 100 |
| 2.763 | 83 |
| 2.374 | 15 |
| 2.021 | 31 |
| 1.621 | 20 |
| 1.615 | 17 |
| 1.581 | 16 |
| 1.468 | 27 |



Record 12
Diffraction record for Ti3IrPd2. The XRD peak list is theoretical, not measured: it uses DFT lattice parameters and positions (PBE) and λ = 1.5418 Å (Cu Kα).
Peak positions follow from Bragg's law for the DFT cell and can differ from measured ones.

Structural model:
```
Ti3IrPd2
1.0
2.874 0.000 0.000
0.000 2.874 0.000
0.000 0.000 11.256
Ti Ir Pd
3 1 2
Direct
0.000 0.000 0.000
0.000 0.000 0.342
0.000 0.000 0.658
0.500 0.500 0.500
0.500 0.500 0.169
0.500 0.500 0.831
```

Principal peaks in the range 2θ from 15° to 90°, in order of rising 2θ:
| d [Å] | I/Imax |
| --- | --- |
| 3.752 | 22 |
| 2.874 | 22 |
| 2.282 | 100 |
| 2.033 | 35 |
| 1.876 | 13 |
| 1.787 | 12 |
| 1.437 | 11 |
| 1.379 | 19 |
| 1.216 | 25 |
| 1.141 | 10 |